1.
Diffraction record for InB2Ir4. The X-ray powder pattern is simulated, not measured: it uses a GGA-PBE-relaxed structure and copper Kα.
Intensities are scaled so that the largest is 100.

Crystal structure
```
data_InB2Ir4
_space_group_name_H-M_alt 'C 1 2 1'
_space_group_IT_number 5
_cell_length_a 7.6941
_cell_length_b 7.7048
_cell_length_c 7.6907
_cell_angle_alpha 90.00
_cell_angle_beta 119.56
_cell_angle_gamma 90.00
loop_
_space_group_symop_operation_xyz
'x,y,z'
'-x,y,-z'
'x+1/2,y+1/2,z'
'-x+1/2,y+1/2,-z'
loop_
_atom_site_label
_atom_site_fract_x
_atom_site_fract_y
_atom_site_fract_z
In1 0.0000 0.0000 0.0000
In2 0.0000 0.2455 0.5000
B1 0.0706 0.5955 0.3298
B2 0.2386 0.9024 0.6748
Ir1 0.0543 0.8739 0.3554
Ir2 0.0555 0.3717 0.8569
Ir3 0.1969 0.6246 0.6480
Ir4 0.1980 0.6269 0.1386
```

The 12 most intense peaks (2θ from 10° to 90°), sorted by position:
d/Å	2θ (°)	I_rel	hkl
3.459	25.8	35.7	1 1 1
3.441	25.9	34.3	1 1 -2
2.526	35.5	97.0	2 2 0
2.516	35.7	100.0	2 2 -2
2.407	37.4	54.3	1 1 2
2.396	37.5	90.5	1 1 -3
2.141	42.2	58.7	1 3 1
2.136	42.3	27.9	1 3 -2
1.926	47.2	30.6	0 4 0
1.923	47.3	29.3	4 0 -2
1.361	69.0	33.7	4 4 -2
1.198	80.1	45.2	2 2 -6

2.
Diffraction record for CdTeP2. The X-ray powder pattern is simulated, not measured: it uses a GGA-PBE-relaxed structure and copper Kα.
Intensities are scaled so that the largest is 100.

Crystal structure
```
data_CdTeP2
_space_group_name_H-M_alt 'P m m 2'
_space_group_IT_number 25
_cell_length_a 3.1632
_cell_length_b 3.2647
_cell_length_c 8.9324
_cell_angle_alpha 90.00
_cell_angle_beta 90.00
_cell_angle_gamma 90.00
loop_
_space_group_symop_operation_xyz
'x,y,z'
'-x,-y,z'
'-x,y,z'
'x,-y,z'
loop_
_atom_site_label
_atom_site_fract_x
_atom_site_fract_y
_atom_site_fract_z
Cd1 0.0000 0.0000 0.0000
Te1 0.5000 0.5000 0.6917
P1 0.0000 0.0000 0.3181
P2 0.5000 0.5000 0.3857
```

The 12 most intense peaks (2θ from 10° to 90°), sorted by position:
d/Å	2θ (°)	I_rel	hkl
3.066	29.1	56.7	0 1 1
2.980	30.0	100.0	0 0 3
2.636	34.0	33.2	0 1 2
2.581	34.8	31.4	1 0 2
2.272	39.7	49.5	1 1 0
2.201	41.0	10.2	0 1 3
1.843	49.4	12.0	0 1 4
1.824	50.0	11.6	1 0 4
1.806	50.5	42.3	1 1 3
1.432	65.2	20.4	0 2 3
1.406	66.5	10.1	2 1 1
1.356	69.3	10.8	2 1 2

3.
Diffraction record for PmAgAu3. The X-ray powder pattern is simulated, not measured: it uses a GGA-PBE-relaxed structure and copper Kα.
Intensities are scaled so that the largest is 100.

Crystal structure
```
data_PmAgAu3
_space_group_name_H-M_alt 'P -1'
_space_group_IT_number 2
_cell_length_a 5.6099
_cell_length_b 5.6341
_cell_length_c 7.3131
_cell_angle_alpha 99.82
_cell_angle_beta 112.53
_cell_angle_gamma 90.01
loop_
_space_group_symop_operation_xyz
'x,y,z'
'-x,-y,-z'
loop_
_atom_site_label
_atom_site_fract_x
_atom_site_fract_y
_atom_site_fract_z
Pm1 0.1034 0.2866 0.2087
Ag1 0.5000 0.0000 0.0000
Ag2 0.5000 0.5000 0.0000
Au1 0.0967 0.1798 0.6982
Au2 0.3083 0.6420 0.6144
Au3 0.3956 0.8206 0.3002
```

The 12 most intense peaks (2θ from 10° to 90°), sorted by position:
d/Å	2θ (°)	I_rel	hkl
6.639	13.3	15.6	0 0 1
3.319	26.9	21.1	0 0 2
2.768	32.3	39.8	0 2 0
2.502	35.9	23.1	-2 1 1
2.409	37.3	100.0	2 1 -2
2.401	37.5	82.3	0 2 1
2.370	38.0	21.5	1 2 0
2.350	38.3	58.7	0 2 -2
2.279	39.5	32.2	2 1 0
1.922	47.3	19.9	-2 1 3
1.542	60.0	23.0	-2 3 1
1.384	67.7	15.7	2 2 2

4.
Diffraction record for NaI3Br9. The X-ray powder pattern is simulated, not measured: it uses a GGA-PBE-relaxed structure and copper Kα.
Intensities are scaled so that the largest is 100.

Crystal structure
```
data_NaI3Br9
_space_group_name_H-M_alt 'C 1 c 1'
_space_group_IT_number 9
_cell_length_a 20.4778
_cell_length_b 10.9890
_cell_length_c 15.4356
_cell_angle_alpha 90.00
_cell_angle_beta 128.91
_cell_angle_gamma 90.00
loop_
_space_group_symop_operation_xyz
'x,y,z'
'x,-y,z+1/2'
'x+1/2,y+1/2,z'
'x+1/2,-y+1/2,z+1/2'
loop_
_atom_site_label
_atom_site_fract_x
_atom_site_fract_y
_atom_site_fract_z
Na1 0.0000 0.0946 0.0000
I1 0.1985 0.4185 0.1338
I2 0.3280 0.0344 0.0315
I3 0.4537 0.4512 0.7198
Br1 0.0197 0.2289 0.1833
Br2 0.0354 0.1287 0.4314
Br3 0.0407 0.4629 0.0263
Br4 0.1588 0.1853 0.0533
Br5 0.2461 0.3594 0.7175
Br6 0.3439 0.0077 0.3730
Br7 0.3441 0.0585 0.7022
Br8 0.3747 0.4686 0.0098
Br9 0.3834 0.3509 0.2539
```

The 12 most intense peaks (2θ from 10° to 90°), sorted by position:
d/Å	2θ (°)	I_rel	hkl
7.967	11.1	63.2	2 0 0
7.619	11.6	60.8	2 0 -2
6.236	14.2	68.6	1 1 1
6.106	14.5	100.0	1 1 -2
6.005	14.8	52.7	0 0 2
5.494	16.1	78.4	0 2 0
4.782	18.6	87.5	3 1 0
4.523	19.6	69.9	2 2 0
3.811	23.3	69.6	4 0 -4
3.059	29.2	63.1	5 1 0
2.654	33.8	60.3	6 0 0
2.504	35.9	49.1	5 1 -6